The following is a computed powder X-ray diffraction pattern of Li7Co5O12. It was derived from a crystal structure in Alexandria, relaxed with PBE+U, using Cu Kα X-rays.
Intensities are scaled so that the largest is 100.

Principal peaks in the range 10° ≤ 2θ ≤ 80°, in order of rising 2θ:
- 18.8 deg, I 100
- 36.9 deg, I 25
- 44.6 deg, I 52
- 45.1 deg, I 25
- 64.9 deg, I 13
- 65.7 deg, I 13

Structure:
```
24
Lattice="7.374 -1.428 0.000 7.374 1.428 0.000 -1.719 0.000 9.450" Properties=species:S:1:pos:R:3 pbc="T T T"
Li 0.000 0.000 0.000
Li -0.088 0.000 7.110
Li 3.248 0.000 2.427
Li 4.937 0.000 7.141
Li 8.092 0.000 2.308
Li 9.780 0.000 7.023
Li 13.116 0.000 2.339
Co 1.598 0.000 4.714
Co 4.965 0.000 0.007
Co 6.514 0.000 4.725
Co 8.064 0.000 9.442
Co 11.430 0.000 4.736
O -0.043 0.000 3.689
O 1.757 0.000 1.057
O 1.558 0.000 8.458
O 3.233 0.000 5.759
O 4.868 0.000 3.711
O 6.378 0.000 1.103
O 6.650 0.000 8.347
O 8.161 0.000 5.738
O 9.795 0.000 3.691
O 11.471 0.000 0.991
O 11.272 0.000 8.392
O 13.071 0.000 5.761
```